# 1
Theoretical PXRD pattern of NdMgNi10 for Cu Kα, 1.54184 Å, from the GGA-PBE geometry in Alexandria.
Lines closer than 0.1° are merged.

Principal peaks in the range 2θ from 10° to 90°, by angle:
- 2θ 30.96, I 25
- 2θ 37.13, I 15
- 2θ 43.22, I 20
- 2θ 43.77, I 100
- 2θ 45.49, I 32
- 2θ 49.16, I 19
- 2θ 64.52, I 18
- 2θ 82.86, I 14

Cell and atoms:
Lattice parameters (Å, degrees): 3.988 4.829 8.395 90.00 90.00 90.00
Sites, in units of the cell vectors:
Nd1 0.000 0.000 0.000
Mg1 0.000 0.500 0.500
Ni1 0.000 0.000 0.343
Ni2 0.000 0.000 0.657
Ni3 0.000 0.500 0.182
Ni4 0.000 0.500 0.818
Ni5 0.500 0.000 0.500
Ni6 0.500 0.252 0.256
Ni7 0.500 0.252 0.744
Ni8 0.500 0.500 0.000
Ni9 0.500 0.748 0.256
Ni10 0.500 0.748 0.744



# 2
Theoretical PXRD pattern of Nd12MgNi6 for Cu Kα, 1.54184 Å, from the GGA-PBE geometry in Alexandria.
Lines closer than 0.1° are merged.

Principal peaks in the range 2θ from 10° to 90°, by angle:
- 2θ 27.96, I 44
- 2θ 30.69, I 32
- 2θ 33.21, I 100
- 2θ 45.84, I 22
- 2θ 52.90, I 36
- 2θ 56.18, I 32
- 2θ 80.80, I 15
- 2θ 82.16, I 17

Cell and atoms:
Lattice parameters (Å, degrees): 8.741 8.741 8.741 109.47 109.47 109.47
Sites, in units of the cell vectors:
Nd1 0.122 0.308 0.814
Nd2 0.186 0.494 0.308
Nd3 0.186 0.878 0.692
Nd4 0.308 0.186 0.494
Nd5 0.308 0.814 0.122
Nd6 0.494 0.308 0.186
Nd7 0.506 0.692 0.814
Nd8 0.692 0.186 0.878
Nd9 0.692 0.814 0.506
Nd10 0.814 0.122 0.308
Nd11 0.814 0.506 0.692
Nd12 0.878 0.692 0.186
Mg1 0.000 0.000 0.000
Ni1 0.121 0.500 0.621
Ni2 0.379 0.879 0.500
Ni3 0.500 0.379 0.879
Ni4 0.500 0.621 0.121
Ni5 0.621 0.121 0.500
Ni6 0.879 0.500 0.379



# 3
Theoretical PXRD pattern of Nd2MgPbO6 for Cu Kα, 1.54184 Å, from the GGA-PBE geometry in Alexandria.
Lines closer than 0.1° are merged.

Principal peaks in the range 2θ from 10° to 90°, by angle:
- 2θ 18.49, I 47
- 2θ 19.18, I 32
- 2θ 30.20, I 41
- 2θ 30.78, I 100
- 2θ 31.02, I 98
- 2θ 31.72, I 45
- 2θ 44.37, I 37
- 2θ 55.74, I 33

Cell and atoms:
Lattice parameters (Å, degrees): 5.642 5.918 9.909 90.00 124.12 90.00
Sites, in units of the cell vectors:
Nd1 0.229 0.061 0.249
Nd2 0.229 0.439 0.749
Nd3 0.771 0.561 0.251
Nd4 0.771 0.939 0.751
Mg1 0.000 0.000 0.500
Mg2 0.000 0.500 0.000
Pb1 0.500 0.000 0.000
Pb2 0.500 0.500 0.500
O1 0.126 0.202 0.936
O2 0.126 0.298 0.436
O3 0.235 0.694 0.936
O4 0.235 0.806 0.436
O5 0.367 0.049 0.745
O6 0.367 0.451 0.245
O7 0.633 0.549 0.755
O8 0.633 0.951 0.255
O9 0.765 0.194 0.564
O10 0.765 0.306 0.064
O11 0.874 0.702 0.564
O12 0.874 0.798 0.064



# 4
Theoretical PXRD pattern of NdMgPtO4 for Cu Kα, 1.54184 Å, from the GGA-PBE geometry in Alexandria.
Lines closer than 0.1° are merged.

Principal peaks in the range 2θ from 10° to 90°, by angle:
- 2θ 15.60, I 100
- 2θ 17.23, I 65
- 2θ 30.62, I 34
- 2θ 30.94, I 38
- 2θ 31.49, I 77
- 2θ 33.25, I 44
- 2θ 34.88, I 41
- 2θ 38.87, I 55

Cell and atoms:
Lattice parameters (Å, degrees): 6.669 6.669 6.669 125.36 115.78 89.22
Sites, in units of the cell vectors:
Nd1 0.000 0.000 0.000
Nd2 0.500 0.000 0.500
Mg1 0.456 0.706 0.750
Mg2 0.544 0.294 0.250
Pt1 0.000 0.000 0.500
Pt2 0.000 0.500 0.000
O1 0.177 0.744 0.433
O2 0.189 0.256 0.933
O3 0.346 0.316 0.470
O4 0.346 0.876 0.030
O5 0.654 0.124 0.970
O6 0.654 0.684 0.530
O7 0.811 0.744 0.067
O8 0.823 0.256 0.567